For SrCa2Sn4, the GGA-PBE geometry in Alexandria gives the simulated powder diffractogram in this record (Cu Kα).
Lines closer than 0.1° are merged.

Cell and atoms:
```
data_SrCa2Sn4
_chemical_formula_sum 'Sr2 Ca4 Sn8'
_cell_length_a 9.8635
_cell_length_b 9.8635
_cell_length_c 7.2114
_cell_angle_alpha 97.64
_cell_angle_beta 97.64
_cell_angle_gamma 38.41
_space_group_name_H-M_alt 'P 1'
_space_group_IT_number 1
_space_group_name_Hall 'P 1'
loop_
_atom_site_label
_atom_site_type_symbol
_atom_site_fract_x
_atom_site_fract_y
_atom_site_fract_z
_atom_site_occupancy
Sr1 Sr 0.2364 0.7636 0.7500 1
Sr2 Sr 0.7636 0.2364 0.2500 1
Ca1 Ca 0.2272 0.3824 0.8451 1
Ca2 Ca 0.3824 0.2272 0.3451 1
Ca3 Ca 0.6176 0.7728 0.6549 1
Ca4 Ca 0.7728 0.6176 0.1549 1
Sn1 Sn 0.0758 0.2425 0.5113 1
Sn2 Sn 0.1877 0.6543 0.1881 1
Sn3 Sn 0.2425 0.0758 0.0113 1
Sn4 Sn 0.3457 0.8123 0.3119 1
Sn5 Sn 0.6543 0.1877 0.6881 1
Sn6 Sn 0.7575 0.9242 0.9887 1
Sn7 Sn 0.8123 0.3457 0.8119 1
Sn8 Sn 0.9242 0.7575 0.4887 1
```

Top 10 peaks for 2θ = 5–70°, low angle first:
2theta  Rel. int.
19.54  29
25.46  42
29.18  55
29.41  56
31.25  52
31.96  100
33.72  36
37.34  41
37.46  39
37.81  32